# MgV4O7F5
Simulated powder XRD pattern, copper Kα. Input: a PBE+U-relaxed structure.
Kinematic intensities with the Lorentz-polarization factor, no thermal factor.

Main lines, by angle (5° ≤ 2θ ≤ 70°):
index  2theta  intensity
0 1 1  22.57  100.0
1 1 -1  23.59  97.2
1 0 2  24.97  94.1
1 0 -2  32.16  25.8
1 -1 1  33.00  22.9
0 2 2  46.07  24.4

Cell and atoms:
```
MgV4O7F5
1.0
5.2758 0.0000 0.0000
2.5163 4.7145 0.0000
1.9509 -0.8997 8.5442
Mg V O F
1 4 7 5
direct
0.0000 0.0000 0.0000 Mg
0.1236 0.4278 0.1558 V
0.1334 0.9426 0.6342 V
0.6015 0.2651 0.4263 V
0.6162 0.6403 0.9012 V
0.3206 0.9083 0.7848 O
0.3527 0.5385 0.5652 O
0.3634 0.5232 0.9750 O
0.3786 0.3593 0.2675 O
0.8417 0.0028 0.5349 O
0.8451 0.3676 0.3259 O
0.8920 0.4161 0.0211 O
0.3534 0.9852 0.0773 F
0.3758 0.0225 0.4704 F
0.8301 0.8796 0.8513 F
0.8675 0.3772 0.7186 F
0.8898 0.8452 0.1943 F
```

---

# MgV6O5F19
Simulated powder XRD pattern, copper Kα. Input: a PBE+U-relaxed structure.
Kinematic intensities with the Lorentz-polarization factor, no thermal factor.

Main lines, by angle (5° ≤ 2θ ≤ 70°):
index  2theta  intensity
0 0 3  17.47  100.0
1 1 -1  24.69  78.4
1 -1 1  25.42  75.9
0 2 1  32.78  14.4
0 0 6  35.34  12.2
1 0 -6  39.48  14.1

Cell and atoms:
```
MgV6O5F19
1.0
5.2722 0.0000 0.0000
0.1809 5.4650 0.0000
0.1408 2.6928 15.2318
Mg V O F
1 6 5 19
direct
0.0000 0.0000 0.0000 Mg
0.0129 0.0409 0.7596 V
0.0692 0.3901 0.1018 V
0.4746 0.1543 0.4279 V
0.4966 0.5634 0.7618 V
0.5042 0.8594 0.1073 V
0.9832 0.6411 0.4392 V
0.2135 0.6839 0.0703 O
0.2459 0.9908 0.4029 O
0.2925 0.1518 0.0764 O
0.3007 0.8107 0.7413 O
0.8159 0.3968 0.4639 O
0.1053 0.9759 0.8822 F
0.1186 0.3331 0.2160 F
0.1275 0.6651 0.5406 F
0.2463 0.3274 0.7438 F
0.2965 0.4780 0.4058 F
0.4285 0.1557 0.5415 F
0.4334 0.8035 0.2199 F
0.4476 0.4798 0.8771 F
0.6183 0.5527 0.6553 F
0.6363 0.2404 0.3268 F
0.6465 0.8946 0.9914 F
0.7265 0.8866 0.4623 F
0.7343 0.5500 0.1236 F
0.7404 0.2408 0.7923 F
0.7912 0.7418 0.7846 F
0.8173 0.0403 0.1219 F
0.9249 0.7414 0.3258 F
0.9262 0.3700 0.9908 F
0.9384 0.0907 0.6467 F
```

---

# MgV4O7F5
Simulated powder XRD pattern, copper Kα. Input: a PBE+U-relaxed structure.
Kinematic intensities with the Lorentz-polarization factor, no thermal factor.

Main lines, by angle (5° ≤ 2θ ≤ 70°):
index  2theta  intensity
1 -1 0  23.38  100.0
1 1 0  23.86  94.2
0 0 2  24.19  97.3
0 2 0  32.87  24.3
1 1 -2  33.38  47.4
2 -2 0  47.81  26.6

Cell and atoms:
```
MgV4O7F5
1.0
5.2142 0.0000 0.0000
-0.1047 5.4575 0.0000
-0.1068 -0.4135 7.3570
Mg V O F
1 4 7 5
direct
0.0000 0.0000 0.0000 Mg
0.4440 0.0512 0.7004 V
0.5326 0.0714 0.1986 V
0.9479 0.5554 0.6985 V
0.9610 0.5690 0.2266 V
0.2695 0.7899 0.6549 O
0.3623 0.0903 0.9543 O
0.5527 0.0832 0.4304 O
0.6985 0.8014 0.1390 O
0.7034 0.3663 0.7431 O
0.7940 0.2709 0.1326 O
0.8724 0.5858 0.4458 O
0.0776 0.6149 0.9529 F
0.1724 0.8869 0.2329 F
0.1844 0.2904 0.6430 F
0.2733 0.3869 0.2407 F
0.7891 0.8898 0.7662 F
```